[1]
Computed powder diffraction line list of TbH2Br for Cu Kα, 1.54184 Å, from a DFT-relaxed cell (PBE, the Materials Project).
Kinematic intensities with the Lorentz-polarization factor, no thermal factor.

Main lines, in order of falling intensity (2θ from 10° to 90°):
- (0 1 5), 30.77°, rel. 100
- (1 1 0), 48.07°, rel. 40
- (1 0 1), 27.35°, rel. 33
- (1 0 7), 33.88°, rel. 32
- (1 0 13), 46.75°, rel. 32
- (0 1 8), 35.70°, rel. 31
- (0 0 6), 16.96°, rel. 28
- (1 0 4), 29.53°, rel. 22
- (1 1 12), 60.38°, rel. 19
- (1 1 18), 73.94°, rel. 18

Cell and atoms:
```
data_TbH2Br
_chemical_formula_sum 'Tb6 H12 Br6'
_space_group_name_H-M_alt 'R -3 m'
_space_group_IT_number 166
_space_group_name_Hall '-R 3 2"'
_cell_length_a 3.7852
_cell_length_b 3.7852
_cell_length_c 31.3664
_cell_angle_alpha 90.00
_cell_angle_beta 90.00
_cell_angle_gamma 120.00
loop_
_atom_site_label
_atom_site_type_symbol
_atom_site_fract_x
_atom_site_fract_y
_atom_site_fract_z
Tb1 Tb 0.0000 0.0000 0.1149
H1 H 0.0000 0.0000 0.1864
H2 H 0.0000 0.0000 0.4536
Br1 Br 0.0000 0.0000 0.2803
```

---

[2]
Computed powder diffraction line list of Cu19Sn16 for Cu Kα, 1.54184 Å, from a DFT-relaxed cell (PBE, the Materials Project).
Kinematic intensities with the Lorentz-polarization factor, no thermal factor.

Main lines, in order of falling intensity (2θ from 10° to 90°):
- (3 2 -2), 41.96°, rel. 100
- (1 1 -3), 30.02°, rel. 85
- (0 4 -4), 43.49°, rel. 46
- (1 0 -4), 42.95°, rel. 44
- (1 0 4), 43.12°, rel. 41
- (-2 1 1), 29.23°, rel. 29
- (1 3 -1), 30.14°, rel. 27
- (2 1 1), 29.47°, rel. 27
- (2 2 2), 42.70°, rel. 23
- (-2 2 2), 42.36°, rel. 23

Cell and atoms:
```
data_Cu19Sn16
_chemical_formula_sum 'Cu19 Sn16'
_space_group_name_H-M_alt 'P 1'
_space_group_IT_number 1
_space_group_name_Hall 'P 1'
_cell_length_a 7.549
_cell_length_b 9.777
_cell_length_c 9.793
_cell_angle_alpha 116.55
_cell_angle_beta 90.18
_cell_angle_gamma 90.33
loop_
_atom_site_label
_atom_site_type_symbol
_atom_site_fract_x
_atom_site_fract_y
_atom_site_fract_z
Cu1 Cu 0.000 0.000 0.000
Cu2 Cu 0.000 0.239 0.257
Cu3 Cu 0.020 0.750 0.744
Cu4 Cu 0.023 0.496 0.503
Cu5 Cu 0.031 0.250 0.744
Cu6 Cu 0.034 0.995 0.505
Cu7 Cu 0.052 0.497 0.995
Cu8 Cu 0.053 0.740 0.256
Cu9 Cu 0.185 0.745 0.504
Cu10 Cu 0.368 0.620 0.123
Cu11 Cu 0.503 0.623 0.372
Cu12 Cu 0.504 0.870 0.629
Cu13 Cu 0.523 0.370 0.126
Cu14 Cu 0.525 0.114 0.880
Cu15 Cu 0.532 0.613 0.882
Cu16 Cu 0.532 0.870 0.124
Cu17 Cu 0.545 0.365 0.628
Cu18 Cu 0.546 0.127 0.373
Cu19 Cu 0.686 0.120 0.126
Sn1 Sn 0.182 0.467 0.243
Sn2 Sn 0.187 0.014 0.770
Sn3 Sn 0.188 0.761 0.992
Sn4 Sn 0.204 0.245 0.497
Sn5 Sn 0.330 0.119 0.130
Sn6 Sn 0.362 0.605 0.636
Sn7 Sn 0.368 0.350 0.858
Sn8 Sn 0.372 0.897 0.383
Sn9 Sn 0.689 0.852 0.859
Sn10 Sn 0.690 0.393 0.390
Sn11 Sn 0.701 0.113 0.627
Sn12 Sn 0.725 0.621 0.129
Sn13 Sn 0.828 0.745 0.496
Sn14 Sn 0.860 0.260 0.990
Sn15 Sn 0.865 0.501 0.756
Sn16 Sn 0.870 0.976 0.255
```

---

[3]
Computed powder diffraction line list of Rh3S4 for Cu Kα, 1.54184 Å, from a DFT-relaxed cell (PBE, the Materials Project).
Kinematic intensities with the Lorentz-polarization factor, no thermal factor.

Main lines, in order of falling intensity (2θ from 10° to 90°):
- (1 3 -1), 28.68°, rel. 100
- (3 1 0), 28.05°, rel. 69
- (0 0 2), 29.71°, rel. 61
- (0 6 0), 50.26°, rel. 55
- (4 0 -1), 34.47°, rel. 36
- (4 4 -1), 48.33°, rel. 29
- (0 4 1), 36.20°, rel. 26
- (4 4 1), 55.43°, rel. 26
- (3 1 2), 47.31°, rel. 21
- (4 0 0), 36.00°, rel. 18

Cell and atoms:
```
data_Rh3S4
_chemical_formula_sum 'Rh18 S24'
_space_group_name_H-M_alt 'C 1 2/m 1'
_space_group_IT_number 12
_space_group_name_Hall '-C 2y'
_cell_length_a 10.486
_cell_length_b 10.902
_cell_length_c 6.319
_cell_angle_alpha 90.00
_cell_angle_beta 107.90
_cell_angle_gamma 90.00
loop_
_atom_site_label
_atom_site_type_symbol
_atom_site_fract_x
_atom_site_fract_y
_atom_site_fract_z
Rh1 Rh 0.000 0.000 0.000
Rh2 Rh 0.000 0.161 0.500
Rh3 Rh 0.138 0.354 0.049
Rh4 Rh 0.150 0.500 0.448
S1 S 0.084 0.500 0.774
S2 S 0.117 0.000 0.388
S3 S 0.125 0.158 0.886
S4 S 0.150 0.291 0.399
```

---

[4]
Computed powder diffraction line list of SrP2H2O8 for Cu Kα, 1.54184 Å, from a DFT-relaxed cell (PBE, the Materials Project).
Kinematic intensities with the Lorentz-polarization factor, no thermal factor.

Main lines, in order of falling intensity (2θ from 10° to 90°):
- (0 1 -2), 23.68°, rel. 100
- (0 0 1), 11.77°, rel. 80
- (1 -1 0), 15.58°, rel. 61
- (0 1 1), 20.61°, rel. 46
- (0 2 0), 27.74°, rel. 42
- (2 0 0), 28.27°, rel. 41
- (2 -2 0), 31.46°, rel. 39
- (0 1 2), 30.85°, rel. 38
- (-2 1 1), 27.95°, rel. 33
- (2 0 -2), 32.52°, rel. 32

Cell and atoms:
```
data_SrP2H2O8
_chemical_formula_sum 'Sr2 P4 H4 O16'
_space_group_name_H-M_alt 'P -1'
_space_group_IT_number 2
_space_group_name_Hall '-P 1'
_cell_length_a 6.870
_cell_length_b 7.115
_cell_length_c 7.938
_cell_angle_alpha 103.07
_cell_angle_beta 98.04
_cell_angle_gamma 109.12
loop_
_atom_site_label
_atom_site_type_symbol
_atom_site_fract_x
_atom_site_fract_y
_atom_site_fract_z
Sr1 Sr 0.233 0.217 0.403
P1 P 0.214 0.300 0.920
P2 P 0.267 0.779 0.591
H1 H 0.137 0.614 0.794
H2 H 0.469 0.096 0.761
O1 O 0.019 0.095 0.867
O2 O 0.110 0.700 0.712
O3 O 0.142 0.867 0.479
O4 O 0.148 0.487 0.919
O5 O 0.326 0.329 0.112
O6 O 0.345 0.614 0.503
O7 O 0.350 0.281 0.782
O8 O 0.483 0.960 0.715
```